[1]
This entry pairs a crystal structure of CaZnRh2 with its theoretical X-ray powder pattern. Radiation: Cu Ka. Structure: a structure optimized by DFT (PBE).
Intensities are scaled so that the largest is 100.

Most intense lines, 10° ≤ 2θ ≤ 90°, in order of falling intensity:
| hkl | 2θ/deg | I_rel |
| --- | --- | --- |
| 1 0 2 | 39.3 | 100 |
| 1 1 0 | 39.8 | 57 |
| 2 1 2 | 71.9 | 31 |
| 0 0 1 | 13.5 | 25 |
| 2 0 0 | 57.5 | 19 |
| 1 0 3 | 50.6 | 17 |

Crystal structure
a b c (Å): 3.204 3.204 6.556
angles (deg): 90.00 90.00 90.00
Space group P4/mmm (No. 123)
Asymmetric unit:
Ca 0.000 0.000 0.000 (multiplicity 1)
Zn 0.000 0.000 0.500 (multiplicity 1)
Rh 0.500 0.500 0.290 (multiplicity 2)



[2]
This entry pairs a crystal structure of Ca2Zn9Rh6 with its theoretical X-ray powder pattern. Radiation: Cu Ka. Structure: a structure optimized by DFT (PBE).
Intensities are scaled so that the largest is 100.

Most intense lines, 10° ≤ 2θ ≤ 90°, in order of falling intensity:
| hkl | 2θ/deg | I_rel |
| --- | --- | --- |
| 1 1 3 | 40.0 | 100 |
| 1 0 0 | 18.9 | 80 |
| 2 0 3 | 44.6 | 65 |
| 1 1 0 | 33.0 | 25 |
| 0 0 6 | 45.0 | 25 |
| 3 0 3 | 63.7 | 24 |

Crystal structure
a b c (Å): 5.4328 5.4328 12.0878
angles (deg): 90.00 90.00 120.00
Space group P6/mmm (No. 191)
Asymmetric unit:
Ca 0.0000 0.0000 0.1745 (multiplicity 2)
Zn 0.0000 0.5000 0.0000 (multiplicity 3)
Zn 0.0000 0.5000 0.3358 (multiplicity 6)
Rh 0.3333 0.6667 0.1681 (multiplicity 4)
Rh 0.3333 0.6667 0.5000 (multiplicity 2)



[3]
This entry pairs a crystal structure of CaZn8Rh2 with its theoretical X-ray powder pattern. Radiation: Cu Ka. Structure: a structure optimized by DFT (PBE).
Intensities are scaled so that the largest is 100.

Most intense lines, 10° ≤ 2θ ≤ 90°, in order of falling intensity:
| hkl | 2θ/deg | I_rel |
| --- | --- | --- |
| 0 0 1 | 10.6 | 100 |
| 2 0 2 | 39.4 | 61 |
| 2 0 3 | 46.6 | 35 |
| 1 1 1 | 25.4 | 27 |
| 2 2 0 | 47.0 | 26 |
| 4 2 2 | 82.2 | 13 |

Crystal structure
a b c (Å): 5.468 5.468 8.326
angles (deg): 90.00 90.00 90.00
Space group P4/mmm (No. 123)
Asymmetric unit:
Ca 0.000 0.000 0.000 (multiplicity 1)
Zn 0.250 0.250 0.306 (multiplicity 8)
Rh 0.000 0.500 0.500 (multiplicity 2)



[4]
This entry pairs a crystal structure of Ca4ZnRh with its theoretical X-ray powder pattern. Radiation: Cu Ka. Structure: a structure optimized by DFT (PBE).
Intensities are scaled so that the largest is 100.

Most intense lines, 10° ≤ 2θ ≤ 90°, in order of falling intensity:
| hkl | 2θ/deg | I_rel |
| --- | --- | --- |
| 1 3 -2 | 34.6 | 100 |
| 0 2 0 | 13.0 | 79 |
| 1 1 0 | 12.7 | 69 |
| 3 3 0 | 38.8 | 45 |
| 3 3 -2 | 38.6 | 45 |
| 3 1 -1 | 29.6 | 44 |

Crystal structure
a b c (Å): 9.292 13.655 6.394
angles (deg): 90.00 119.48 90.00
Space group C2/c (No. 15)
Asymmetric unit:
Ca 0.115 0.171 0.082 (multiplicity 8)
Ca 0.212 0.435 0.298 (multiplicity 8)
Zn 0.000 0.366 0.750 (multiplicity 4)
Rh 0.000 0.001 0.250 (multiplicity 4)



[5]
This entry pairs a crystal structure of CaZr2Rh3 with its theoretical X-ray powder pattern. Radiation: Cu Ka. Structure: a structure optimized by DFT (PBE).
Intensities are scaled so that the largest is 100.

Most intense lines, 10° ≤ 2θ ≤ 90°, in order of falling intensity:
| hkl | 2θ/deg | I_rel |
| --- | --- | --- |
| 1 0 3 | 37.8 | 100 |
| 1 1 0 | 38.0 | 56 |
| 2 1 3 | 68.5 | 33 |
| 2 0 0 | 54.9 | 19 |
| 1 0 4 | 44.7 | 12 |
| 1 1 6 | 68.0 | 11 |

Crystal structure
a b c (Å): 3.347 3.347 10.182
angles (deg): 90.00 90.00 90.00
Space group P4/mmm (No. 123)
Asymmetric unit:
Ca 0.000 0.000 0.000 (multiplicity 1)
Zr 0.000 0.000 0.336 (multiplicity 2)
Rh 0.500 0.500 0.199 (multiplicity 2)
Rh 0.500 0.500 0.500 (multiplicity 1)



[6]
This entry pairs a crystal structure of Ca6Ru with its theoretical X-ray powder pattern. Radiation: Cu Ka. Structure: a structure optimized by DFT (PBE).
Intensities are scaled so that the largest is 100.

Most intense lines, 10° ≤ 2θ ≤ 90°, in order of falling intensity:
| hkl | 2θ/deg | I_rel |
| --- | --- | --- |
| 2 3 1 | 29.6 | 100 |
| 3 0 2 | 33.6 | 55 |
| 2 1 0 | 15.7 | 50 |
| 0 2 0 | 15.0 | 39 |
| 1 1 1 | 16.5 | 32 |
| 0 3 3 | 46.1 | 31 |

Crystal structure
a b c (Å): 12.845 11.841 6.815
angles (deg): 90.00 90.00 90.00
Space group Pnma (No. 62)
Asymmetric unit:
Ca 0.005 0.085 0.243 (multiplicity 8)
Ca 0.007 0.250 0.751 (multiplicity 4)
Ca 0.247 0.750 0.911 (multiplicity 4)
Ca 0.249 0.085 0.916 (multiplicity 8)
Ru 0.128 0.250 0.082 (multiplicity 4)



[7]
This entry pairs a crystal structure of Ca4Ru with its theoretical X-ray powder pattern. Radiation: Cu Ka. Structure: a structure optimized by DFT (PBE).
Intensities are scaled so that the largest is 100.

Most intense lines, 10° ≤ 2θ ≤ 90°, in order of falling intensity:
| hkl | 2θ/deg | I_rel |
| --- | --- | --- |
| 1 1 0 | 13.6 | 100 |
| 0 2 0 | 12.3 | 78 |
| 1 4 1 | 30.9 | 60 |
| 1 3 2 | 35.7 | 41 |
| 0 4 2 | 37.4 | 26 |
| 2 0 2 | 37.2 | 25 |

Crystal structure
a b c (Å): 7.271 14.411 6.467
angles (deg): 90.00 90.00 90.00
Space group Ibam (No. 72)
Asymmetric unit:
Ca 0.142 0.159 0.000 (multiplicity 8)
Ca 0.200 0.428 0.000 (multiplicity 8)
Ru 0.000 0.000 0.250 (multiplicity 4)



[8]
This entry pairs a crystal structure of CaRuS2 with its theoretical X-ray powder pattern. Radiation: Cu Ka. Structure: a structure optimized by DFT (PBE).
Intensities are scaled so that the largest is 100.

Most intense lines, 10° ≤ 2θ ≤ 90°, in order of falling intensity:
| hkl | 2θ/deg | I_rel |
| --- | --- | --- |
| 1 1 2 | 27.1 | 100 |
| 2 0 4 | 44.3 | 39 |
| 1 0 1 | 17.5 | 38 |
| 3 1 2 | 54.3 | 24 |
| 1 1 6 | 51.2 | 16 |
| 2 2 0 | 46.1 | 15 |

Crystal structure
a b c (Å): 5.572 5.572 12.016
angles (deg): 90.00 90.00 90.00
Space group I-42d (No. 122)
Asymmetric unit:
Ca 0.000 0.000 0.000 (multiplicity 4)
Ru 0.000 0.000 0.500 (multiplicity 4)
S 0.180 0.250 0.625 (multiplicity 8)



[9]
This entry pairs a crystal structure of CaSi2Ru4 with its theoretical X-ray powder pattern. Radiation: Cu Ka. Structure: a structure optimized by DFT (PBE).
Intensities are scaled so that the largest is 100.

Most intense lines, 10° ≤ 2θ ≤ 90°, in order of falling intensity:
| hkl | 2θ/deg | I_rel |
| --- | --- | --- |
| 0 2 0 | 12.6 | 100 |
| 1 3 1 | 37.3 | 94 |
| 1 5 1 | 45.6 | 49 |
| 2 0 0 | 45.5 | 20 |
| 0 0 2 | 45.7 | 20 |
| 2 0 2 | 66.4 | 16 |

Crystal structure
a b c (Å): 3.991 14.083 3.968
angles (deg): 90.00 90.00 90.00
Space group Cmmm (No. 65)
Asymmetric unit:
Ca 0.000 0.000 0.000 (multiplicity 2)
Si 0.000 0.413 0.500 (multiplicity 4)
Ru 0.000 0.187 0.500 (multiplicity 4)
Ru 0.000 0.309 0.000 (multiplicity 4)



[10]
This entry pairs a crystal structure of Ca2Si7Ru12 with its theoretical X-ray powder pattern. Radiation: Cu Ka. Structure: a structure optimized by DFT (PBE).
Intensities are scaled so that the largest is 100.

Most intense lines, 10° ≤ 2θ ≤ 90°, in order of falling intensity:
| hkl | 2θ/deg | I_rel |
| --- | --- | --- |
| 1 2 1 | 36.5 | 100 |
| 3 1 1 | 45.5 | 45 |
| 0 0 2 | 45.8 | 27 |
| 1 0 0 | 10.6 | 24 |
| 2 3 0 | 47.6 | 22 |
| 1 1 0 | 18.5 | 19 |

Crystal structure
a b c (Å): 9.6132 9.6132 3.9626
angles (deg): 90.00 90.00 120.00
Space group P-6 (No. 174)
Asymmetric unit:
Ca 0.0000 0.0000 0.0000 (multiplicity 1)
Ca 0.3333 0.6667 0.5000 (multiplicity 1)
Si 0.0663 0.6109 0.0000 (multiplicity 3)
Si 0.2694 0.0498 0.5000 (multiplicity 3)
Si 0.6667 0.3333 0.0000 (multiplicity 1)
Ru 0.0573 0.7607 0.5000 (multiplicity 3)
Ru 0.0983 0.3794 0.0000 (multiplicity 3)
Ru 0.3925 0.2111 0.0000 (multiplicity 3)
Ru 0.5545 0.1252 0.5000 (multiplicity 3)



[11]
This entry pairs a crystal structure of CaSi2TcRu with its theoretical X-ray powder pattern. Radiation: Cu Ka. Structure: a structure optimized by DFT (PBE).
Intensities are scaled so that the largest is 100.

Most intense lines, 10° ≤ 2θ ≤ 90°, in order of falling intensity:
| hkl | 2θ/deg | I_rel |
| --- | --- | --- |
| 1 1 2 | 35.3 | 100 |
| 0 0 2 | 17.8 | 64 |
| 2 0 0 | 43.4 | 43 |
| 1 1 4 | 47.7 | 34 |
| 3 1 2 | 74.3 | 21 |
| 2 0 2 | 47.2 | 20 |

Crystal structure
a b c (Å): 4.174 4.174 9.985
angles (deg): 90.00 90.00 90.00
Space group I-4m2 (No. 119)
Asymmetric unit:
Ca 0.000 0.000 0.000 (multiplicity 2)
Si 0.000 0.000 0.371 (multiplicity 4)
Tc 0.000 0.500 0.250 (multiplicity 2)
Ru 0.000 0.500 0.750 (multiplicity 2)



[12]
This entry pairs a crystal structure of CaSmRu with its theoretical X-ray powder pattern. Radiation: Cu Ka. Structure: a structure optimized by DFT (PBE).
Intensities are scaled so that the largest is 100.

Most intense lines, 10° ≤ 2θ ≤ 90°, in order of falling intensity:
| hkl | 2θ/deg | I_rel |
| --- | --- | --- |
| 0 2 0 | 12.7 | 100 |
| 2 0 2 | 36.8 | 55 |
| 1 1 1 | 19.3 | 44 |
| 2 2 2 | 39.1 | 36 |
| 2 2 0 | 29.8 | 34 |
| 0 4 2 | 35.9 | 34 |

Crystal structure
a b c (Å): 6.650 13.913 7.189
angles (deg): 90.00 90.00 90.00
Space group Cmce (No. 64)
Asymmetric unit:
Ca 0.000 0.201 0.102 (multiplicity 8)
Sm 0.250 0.026 0.750 (multiplicity 8)
Ru 0.000 0.103 0.457 (multiplicity 8)



[13]
This entry pairs a crystal structure of CaSn2Ru with its theoretical X-ray powder pattern. Radiation: Cu Ka. Structure: a structure optimized by DFT (PBE).
Intensities are scaled so that the largest is 100.

Most intense lines, 10° ≤ 2θ ≤ 90°, in order of falling intensity:
| hkl | 2θ/deg | I_rel |
| --- | --- | --- |
| 2 2 0 | 36.9 | 100 |
| 4 2 2 | 66.4 | 36 |
| 4 0 0 | 53.1 | 17 |
| 6 2 0 | 90.0 | 17 |
| 4 4 0 | 78.4 | 11 |
| 2 0 0 | 25.8 | 7 |

Crystal structure
a b c (Å): 6.897 6.897 6.897
angles (deg): 90.00 90.00 90.00
Space group Fm-3m (No. 225)
Asymmetric unit:
Ca 0.000 0.000 0.000 (multiplicity 4)
Sn 0.250 0.250 0.250 (multiplicity 8)
Ru 0.000 0.000 0.500 (multiplicity 4)